1.
Theoretical powder diffraction line list
Compound: Ag3ClF3
Radiation: Cu Kα, 1.54184 Å
Structure: the GGA-PBE geometry in Alexandria

Largest 10 diffraction maxima, by angle, 2θ from 5° to 70°:
- hkl 0 1 1, 14.88 deg, I 53
- hkl 0 1 -1, 17.08 deg, I 38
- hkl 0 1 3, 26.22 deg, I 100
- hkl 0 2 0, 27.76 deg, I 38
- hkl 1 1 2, 28.70 deg, I 47
- hkl 1 -1 0, 29.67 deg, I 77
- hkl 0 1 -3, 30.06 deg, I 88
- hkl 1 -1 1, 30.88 deg, I 45
- hkl 1 2 -1, 36.87 deg, I 41
- hkl 0 3 -1, 44.36 deg, I 44

Atomic structure:
abc: 3.731 6.584 11.088
angles: 80.30 84.16 81.05
Space group P-1 (No. 2)
Unique sites:
1 Ag 0.085 0.246 0.267 [2 per cell]
2 Ag 0.218 0.132 0.881 [2 per cell]
3 Ag 0.398 0.322 0.590 [2 per cell]
4 Cl 0.395 0.571 0.216 [2 per cell]
5 F 0.022 0.696 0.543 [2 per cell]
6 F 0.180 0.144 0.084 [2 per cell]
7 F 0.280 0.999 0.699 [2 per cell]

2.
Theoretical powder diffraction line list
Compound: Ag3Cl2F3
Radiation: Cu Kα, 1.54184 Å
Structure: the GGA-PBE geometry in Alexandria

Largest 10 diffraction maxima, by angle, 2θ from 5° to 70°:
- hkl 2 0 0, 14.84 deg, I 46
- hkl 1 1 0, 19.02 deg, I 100
- hkl 2 0 -3, 27.46 deg, I 35
- hkl 2 0 3, 28.10 deg, I 54
- hkl 3 1 0, 28.51 deg, I 46
- hkl 1 1 -3, 30.14 deg, I 31
- hkl 1 1 3, 30.44 deg, I 24
- hkl 0 2 0, 35.41 deg, I 59
- hkl 4 0 -3, 37.82 deg, I 18
- hkl 2 2 3, 45.80 deg, I 27

Atomic structure:
abc: 11.946 5.070 11.430
angles: 90.00 91.43 90.00
Space group Cm (No. 8)
Unique sites:
1 Ag 0.000 0.000 0.000 [2 per cell]
2 Ag 0.001 0.000 0.647 [2 per cell]
3 Ag 0.264 0.000 0.478 [2 per cell]
4 Ag 0.288 0.000 0.124 [2 per cell]
5 Ag 0.333 0.000 0.808 [2 per cell]
6 Ag 0.430 0.500 0.317 [2 per cell]
7 Cl 0.097 0.000 0.200 [2 per cell]
8 Cl 0.275 0.500 0.465 [2 per cell]
9 Cl 0.466 0.000 0.995 [2 per cell]
10 Cl 0.480 0.000 0.654 [2 per cell]
11 F 0.044 0.000 0.462 [2 per cell]
12 F 0.211 0.000 0.659 [2 per cell]
13 F 0.211 0.000 0.948 [2 per cell]
14 F 0.336 0.500 0.159 [2 per cell]
15 F 0.346 0.000 0.309 [2 per cell]
16 F 0.433 0.500 0.820 [2 per cell]

Number 2 is which compound? Ag3Cl2F3

Copy entry 2 word for word.
Theoretical powder diffraction line list
Compound: Ag3Cl2F3
Radiation: Cu Kα, 1.54184 Å
Structure: the GGA-PBE geometry in Alexandria

Largest 10 diffraction maxima, by angle, 2θ from 5° to 70°:
- hkl 2 0 0, 14.84 deg, I 46
- hkl 1 1 0, 19.02 deg, I 100
- hkl 2 0 -3, 27.46 deg, I 35
- hkl 2 0 3, 28.10 deg, I 54
- hkl 3 1 0, 28.51 deg, I 46
- hkl 1 1 -3, 30.14 deg, I 31
- hkl 1 1 3, 30.44 deg, I 24
- hkl 0 2 0, 35.41 deg, I 59
- hkl 4 0 -3, 37.82 deg, I 18
- hkl 2 2 3, 45.80 deg, I 27

Atomic structure:
abc: 11.946 5.070 11.430
angles: 90.00 91.43 90.00
Space group Cm (No. 8)
Unique sites:
1 Ag 0.000 0.000 0.000 [2 per cell]
2 Ag 0.001 0.000 0.647 [2 per cell]
3 Ag 0.264 0.000 0.478 [2 per cell]
4 Ag 0.288 0.000 0.124 [2 per cell]
5 Ag 0.333 0.000 0.808 [2 per cell]
6 Ag 0.430 0.500 0.317 [2 per cell]
7 Cl 0.097 0.000 0.200 [2 per cell]
8 Cl 0.275 0.500 0.465 [2 per cell]
9 Cl 0.466 0.000 0.995 [2 per cell]
10 Cl 0.480 0.000 0.654 [2 per cell]
11 F 0.044 0.000 0.462 [2 per cell]
12 F 0.211 0.000 0.659 [2 per cell]
13 F 0.211 0.000 0.948 [2 per cell]
14 F 0.336 0.500 0.159 [2 per cell]
15 F 0.346 0.000 0.309 [2 per cell]
16 F 0.433 0.500 0.820 [2 per cell]